No. 1
The following is a theoretical X-ray powder pattern of Dy10Si17. It was derived from DFT lattice parameters and positions (PBE), using Cu Kα (weighted mean of Kα1 and Kα2).
Lines closer than 0.1° are merged.

```
data_Dy10Si17
_cell_length_a 8.2874
_cell_length_b 19.1810
_cell_length_c 6.6803
_cell_angle_alpha 90.00
_cell_angle_beta 90.00
_cell_angle_gamma 90.00
_symmetry_space_group_name_H-M 'I m m 2'
_symmetry_Int_Tables_number 44
_symmetry_space_group_name_Hall 'I 2 -2'
loop_
_atom_site_label
_atom_site_fract_x
_atom_site_fract_y
_atom_site_fract_z
_atom_site_occupancy
Dy1 0.2445 0.0000 0.0000 1
Dy2 0.2480 0.3003 0.4973 1
Dy3 0.2476 0.3996 0.9926 1
Si1 0.0000 0.0000 0.3291 1
Si2 0.0000 0.0000 0.6800 1
Si3 0.0000 0.1045 0.1512 1
Si4 0.0000 0.1211 0.7948 1
Si5 0.0000 0.1992 0.3843 1
Si6 0.0000 0.2846 0.8035 1
Si7 0.0000 0.3003 0.1638 1
Si8 0.0000 0.3997 0.6591 1
Si9 0.0000 0.4178 0.3039 1
Si10 0.0000 0.5000 0.8724 1
```

The 10 most intense peaks (10 to 80 degrees two-theta), low angle first:
hkl, 2theta, intensity
2 0 0, 21.44, 29
0 0 2, 26.69, 27
0 5 1, 26.80, 54
2 0 2, 34.49, 51
2 5 1, 34.58, 100
4 0 0, 43.69, 17
0 5 3, 47.19, 25
4 5 1, 52.00, 18
2 10 2, 59.92, 19
4 5 3, 66.26, 18

=====

No. 2
The following is a theoretical X-ray powder pattern of Ta4CdN3. It was derived from DFT lattice parameters and positions (PBE), using Cu Kα (weighted mean of Kα1 and Kα2).
Lines closer than 0.1° are merged.

```
data_Ta4CdN3
_cell_length_a 3.0752
_cell_length_b 3.0752
_cell_length_c 25.2815
_cell_angle_alpha 90.00
_cell_angle_beta 90.00
_cell_angle_gamma 120.00
_symmetry_space_group_name_H-M 'P 63/m m c'
_symmetry_Int_Tables_number 194
_symmetry_space_group_name_Hall '-P 6c 2c'
loop_
_atom_site_label
_atom_site_fract_x
_atom_site_fract_y
_atom_site_fract_z
_atom_site_occupancy
Ta1 0.0000 0.0000 0.1530 1
Ta2 0.3333 0.6667 0.0514 1
Cd1 0.3333 0.6667 0.2500 1
N1 0.0000 0.0000 0.0000 1
N2 0.3333 0.6667 0.6034 1
```

The 10 most intense peaks (10 to 80 degrees two-theta), low angle first:
hkl, 2theta, intensity
1 0 1, 33.84, 26
1 0 2, 34.41, 29
0 0 10, 35.51, 69
1 0 4, 36.62, 78
1 0 5, 38.19, 93
1 0 6, 40.05, 100
1 1 0, 60.18, 54
1 0 15, 65.54, 18
1 0 16, 69.13, 20
1 1 10, 71.86, 57

=====

No. 3
The following is a theoretical X-ray powder pattern of KHg3GeO4. It was derived from DFT lattice parameters and positions (PBE), using Cu Kα (weighted mean of Kα1 and Kα2).
Lines closer than 0.1° are merged.

```
data_KHg3GeO4
_cell_length_a 6.0395
_cell_length_b 6.0395
_cell_length_c 6.0395
_cell_angle_alpha 90.00
_cell_angle_beta 90.00
_cell_angle_gamma 90.00
_symmetry_space_group_name_H-M 'P -4 3 m'
_symmetry_Int_Tables_number 215
_symmetry_space_group_name_Hall 'P -4 2 3'
loop_
_atom_site_label
_atom_site_fract_x
_atom_site_fract_y
_atom_site_fract_z
_atom_site_occupancy
K1 0.0000 0.0000 0.0000 1
Hg1 0.0000 0.5000 0.5000 1
Ge1 0.5000 0.5000 0.5000 1
O1 0.3269 0.3269 0.3269 1
```

The 10 most intense peaks (10 to 80 degrees two-theta), low angle first:
hkl, 2theta, intensity
1 0 0, 14.67, 61
1 1 1, 25.55, 100
2 0 0, 29.58, 76
2 1 0, 33.17, 23
2 2 0, 42.33, 69
3 1 1, 50.09, 53
2 2 2, 52.49, 23
3 3 1, 67.61, 19
4 2 0, 69.62, 31
4 2 2, 77.41, 22

=====

What did the first record say?
The following is a theoretical X-ray powder pattern of Dy10Si17. It was derived from DFT lattice parameters and positions (PBE), using Cu Kα (weighted mean of Kα1 and Kα2).
Lines closer than 0.1° are merged.

```
data_Dy10Si17
_cell_length_a 8.2874
_cell_length_b 19.1810
_cell_length_c 6.6803
_cell_angle_alpha 90.00
_cell_angle_beta 90.00
_cell_angle_gamma 90.00
_symmetry_space_group_name_H-M 'I m m 2'
_symmetry_Int_Tables_number 44
_symmetry_space_group_name_Hall 'I 2 -2'
loop_
_atom_site_label
_atom_site_fract_x
_atom_site_fract_y
_atom_site_fract_z
_atom_site_occupancy
Dy1 0.2445 0.0000 0.0000 1
Dy2 0.2480 0.3003 0.4973 1
Dy3 0.2476 0.3996 0.9926 1
Si1 0.0000 0.0000 0.3291 1
Si2 0.0000 0.0000 0.6800 1
Si3 0.0000 0.1045 0.1512 1
Si4 0.0000 0.1211 0.7948 1
Si5 0.0000 0.1992 0.3843 1
Si6 0.0000 0.2846 0.8035 1
Si7 0.0000 0.3003 0.1638 1
Si8 0.0000 0.3997 0.6591 1
Si9 0.0000 0.4178 0.3039 1
Si10 0.0000 0.5000 0.8724 1
```

The 10 most intense peaks (10 to 80 degrees two-theta), low angle first:
hkl, 2theta, intensity
2 0 0, 21.44, 29
0 0 2, 26.69, 27
0 5 1, 26.80, 54
2 0 2, 34.49, 51
2 5 1, 34.58, 100
4 0 0, 43.69, 17
0 5 3, 47.19, 25
4 5 1, 52.00, 18
2 10 2, 59.92, 19
4 5 3, 66.26, 18